For LiPdN, a GGA-PBE-relaxed structure gives the computed powder diffractogram in this record (λ = 1.5418 Å (Cu Kα)).
Intensities are scaled so that the largest is 100.

Crystal structure
```
LiPdN
1.0
3.066 0.000 0.000
0.000 3.066 0.000
0.000 0.000 3.829
Li Pd N
1 1 1
Direct
0.000 0.000 0.000
0.500 0.500 0.500
0.500 0.500 0.000
```

Most intense lines, 5 to 70 degrees two-theta, by intensity:
two_theta, I/Imax
29.12, 100
37.58, 73
23.23, 50
41.66, 43
48.24, 29
56.68, 28


For Pr2CrS4, a GGA-PBE-relaxed structure gives the computed powder diffractogram in this record (λ = 1.5418 Å (Cu Kα)).
Intensities are scaled so that the largest is 100.

Crystal structure
```
Pr2CrS4
1.0
6.870 -2.030 0.000
6.870 2.030 0.000
-3.660 0.000 6.179
Pr Cr S
2 1 4
Direct
0.211 0.211 0.208
0.789 0.789 0.792
0.500 0.500 0.500
0.132 0.132 0.507
0.391 0.391 0.107
0.609 0.609 0.893
0.868 0.868 0.493
```

Most intense lines, 5 to 70 degrees two-theta, by intensity:
two_theta, I/Imax
29.33, 100
25.20, 78
14.99, 61
43.92, 55
24.80, 41
31.64, 41


For Ba2LaMgBiO6, a GGA-PBE-relaxed structure gives the computed powder diffractogram in this record (λ = 1.5418 Å (Cu Kα)).
Intensities are scaled so that the largest is 100.

Crystal structure
```
Ba2LaMgBiO6
1.0
6.016 -3.137 0.000
6.016 3.137 0.000
-2.402 0.000 5.583
Ba La Mg Bi O
2 1 1 1 6
Direct
0.219 0.219 0.176
0.781 0.781 0.824
0.000 0.000 0.500
0.500 0.500 0.500
0.500 0.500 0.000
0.176 0.652 0.213
0.348 0.824 0.787
0.351 0.351 0.614
0.649 0.649 0.386
0.652 0.176 0.213
0.824 0.348 0.787
```

Most intense lines, 5 to 70 degrees two-theta, by intensity:
two_theta, I/Imax
27.15, 100
24.94, 81
28.45, 43
41.54, 42
29.60, 28
43.65, 24


For Ba2ErMgRuO6, a GGA-PBE-relaxed structure gives the computed powder diffractogram in this record (λ = 1.5418 Å (Cu Kα)).
Intensities are scaled so that the largest is 100.

Crystal structure
```
Ba2ErMgRuO6
1.0
-2.949 3.043 4.618
2.949 -3.043 4.618
2.949 3.043 -4.618
Ba Er Mg Ru O
2 1 1 1 6
Direct
0.191 0.191 0.000
0.809 0.809 0.000
0.500 0.000 0.500
0.500 0.500 0.000
0.000 0.500 0.500
0.237 0.737 0.500
0.258 0.269 0.527
0.258 0.731 0.989
0.742 0.269 0.011
0.742 0.731 0.473
0.763 0.263 0.500
```

Most intense lines, 5 to 70 degrees two-theta, by intensity:
two_theta, I/Imax
28.60, 100
42.70, 44
29.35, 40
30.31, 37
32.60, 25
51.59, 20


For RbMg14Al, a GGA-PBE-relaxed structure gives the computed powder diffractogram in this record (λ = 1.5418 Å (Cu Kα)).
Intensities are scaled so that the largest is 100.

Crystal structure
```
RbMg14Al
1.0
6.495 0.000 0.000
-3.248 5.625 0.000
0.000 0.000 10.728
Rb Mg Al
1 14 1
Direct
0.000 0.000 0.000
0.008 0.504 0.000
0.169 0.338 0.269
0.169 0.338 0.731
0.169 0.831 0.269
0.169 0.831 0.731
0.496 0.504 0.000
0.496 0.992 0.000
0.503 0.005 0.500
0.503 0.497 0.500
0.662 0.831 0.269
0.662 0.831 0.731
0.667 0.333 0.243
0.667 0.333 0.757
0.995 0.497 0.500
0.000 0.000 0.500
```

Most intense lines, 5 to 70 degrees two-theta, by intensity:
two_theta, I/Imax
36.06, 100
33.41, 26
31.82, 25
67.42, 19
61.45, 18
56.69, 17